Theoretical powder diffractogram
Compound: Li9Mn2Co5O16
Radiation: Cu Kα (λ = 1.5418 Å)
Structure: the GGA+U geometry in the Materials Project
Neutral-atom scattering factors, no anomalous dispersion.

Most intense lines, 10° ≤ 2θ ≤ 80°, in order of rising 2θ:
d_spacing	2θ/deg	I (rel.)
4.883	18.17	100
2.505	35.85	14
2.498	35.95	13
2.489	36.09	13
2.093	43.23	28
2.083	43.44	27
2.076	43.59	26
1.486	62.51	15
1.481	62.74	7
1.467	63.39	8

Lattice parameters (Å, degrees): 5.8694 5.9250 9.7533 99.64 90.21 119.46
Positions (direct):
1 Li 0.0000 0.0000 0.0000
2 Li 0.0000 0.5000 0.0000
3 Li 0.1310 0.2458 0.7670
4 Li 0.2493 0.9999 0.5001
5 Li 0.3740 0.7541 0.2425
6 Li 0.5000 0.5000 0.0000
7 Li 0.6260 0.2459 0.7575
8 Li 0.7507 0.0001 0.4999
9 Li 0.8690 0.7542 0.2330
10 Mn 0.2501 0.5000 0.5007
11 Mn 0.7499 0.5000 0.4993
12 Co 0.1230 0.7534 0.7616
13 Co 0.3616 0.2337 0.2381
14 Co 0.5000 0.0000 0.0000
15 Co 0.6384 0.7663 0.7619
16 Co 0.8770 0.2466 0.2384
17 O 0.0510 0.6056 0.3889
18 O 0.0757 0.1537 0.3773
19 O 0.1842 0.3809 0.1395
20 O 0.1996 0.8960 0.1310
21 O 0.3185 0.1018 0.8732
22 O 0.3206 0.6311 0.8730
23 O 0.4195 0.8411 0.6220
24 O 0.4495 0.3969 0.6119
25 O 0.5505 0.6031 0.3881
26 O 0.5805 0.1589 0.3780
27 O 0.6794 0.3689 0.1270
28 O 0.6815 0.8982 0.1268
29 O 0.8004 0.1040 0.8690
30 O 0.8158 0.6191 0.8605
31 O 0.9243 0.8463 0.6227
32 O 0.9490 0.3944 0.6111

---

Theoretical powder diffractogram
Compound: Fe12O13
Radiation: Cu Kα (λ = 1.5418 Å)
Structure: the GGA+U geometry in the Materials Project
Neutral-atom scattering factors, no anomalous dispersion.

Most intense lines, 10° ≤ 2θ ≤ 80°, in order of rising 2θ:
d_spacing	2θ/deg	I (rel.)
5.541	16.00	5
3.270	27.28	6
2.517	35.67	16
2.510	35.77	46
2.175	41.51	100
1.540	60.09	28
1.537	60.22	28
1.314	71.88	6
1.311	72.02	18
1.255	75.79	12

Lattice parameters (Å, degrees): 6.8751 6.8751 6.8751 107.39 107.39 107.39
Positions (direct):
1 Fe 0.0418 0.1235 0.3480
2 Fe 0.1235 0.3480 0.0418
3 Fe 0.2094 0.5733 0.7311
4 Fe 0.2689 0.7906 0.4267
5 Fe 0.3480 0.0418 0.1235
6 Fe 0.4267 0.2689 0.7906
7 Fe 0.5733 0.7311 0.2094
8 Fe 0.6520 0.9582 0.8765
9 Fe 0.7311 0.2094 0.5733
10 Fe 0.7906 0.4267 0.2689
11 Fe 0.8765 0.6520 0.9582
12 Fe 0.9582 0.8765 0.6520
13 O 0.0000 0.0000 0.0000
14 O 0.0752 0.2197 0.6900
15 O 0.1255 0.4530 0.3707
16 O 0.2197 0.6900 0.0752
17 O 0.3100 0.9248 0.7803
18 O 0.3707 0.1255 0.4530
19 O 0.4530 0.3707 0.1255
20 O 0.5470 0.6293 0.8745
21 O 0.6293 0.8745 0.5470
22 O 0.6900 0.0752 0.2197
23 O 0.7803 0.3100 0.9248
24 O 0.8745 0.5470 0.6293
25 O 0.9248 0.7803 0.3100

---

Please write out number 1 again, unchanged.
Theoretical powder diffractogram
Compound: Li9Mn2Co5O16
Radiation: Cu Kα (λ = 1.5418 Å)
Structure: the GGA+U geometry in the Materials Project
Neutral-atom scattering factors, no anomalous dispersion.

Most intense lines, 10° ≤ 2θ ≤ 80°, in order of rising 2θ:
d_spacing	2θ/deg	I (rel.)
4.883	18.17	100
2.505	35.85	14
2.498	35.95	13
2.489	36.09	13
2.093	43.23	28
2.083	43.44	27
2.076	43.59	26
1.486	62.51	15
1.481	62.74	7
1.467	63.39	8

Lattice parameters (Å, degrees): 5.8694 5.9250 9.7533 99.64 90.21 119.46
Positions (direct):
1 Li 0.0000 0.0000 0.0000
2 Li 0.0000 0.5000 0.0000
3 Li 0.1310 0.2458 0.7670
4 Li 0.2493 0.9999 0.5001
5 Li 0.3740 0.7541 0.2425
6 Li 0.5000 0.5000 0.0000
7 Li 0.6260 0.2459 0.7575
8 Li 0.7507 0.0001 0.4999
9 Li 0.8690 0.7542 0.2330
10 Mn 0.2501 0.5000 0.5007
11 Mn 0.7499 0.5000 0.4993
12 Co 0.1230 0.7534 0.7616
13 Co 0.3616 0.2337 0.2381
14 Co 0.5000 0.0000 0.0000
15 Co 0.6384 0.7663 0.7619
16 Co 0.8770 0.2466 0.2384
17 O 0.0510 0.6056 0.3889
18 O 0.0757 0.1537 0.3773
19 O 0.1842 0.3809 0.1395
20 O 0.1996 0.8960 0.1310
21 O 0.3185 0.1018 0.8732
22 O 0.3206 0.6311 0.8730
23 O 0.4195 0.8411 0.6220
24 O 0.4495 0.3969 0.6119
25 O 0.5505 0.6031 0.3881
26 O 0.5805 0.1589 0.3780
27 O 0.6794 0.3689 0.1270
28 O 0.6815 0.8982 0.1268
29 O 0.8004 0.1040 0.8690
30 O 0.8158 0.6191 0.8605
31 O 0.9243 0.8463 0.6227
32 O 0.9490 0.3944 0.6111

---

Question: What is the formula in the second record?
Answer: Fe12O13

---

Question: Which formula does entry 2 have?
Answer: Fe12O13